Theoretical powder X-ray diffraction pattern
Compound: Ca2TmMnO4
Radiation: λ = 1.5418 Å (Cu Kα)
Structure: a crystal structure in Alexandria, relaxed with PBE+U
Neutral-atom scattering factors, no anomalous dispersion.

Largest 6 diffraction maxima, by angle, 5° ≤ 2θ ≤ 70°:
Position (°2θ)	intensity	index
16.14	41.0	0 0 1
16.32	24.1	1 0 0
32.62	21.4	0 0 2
32.73	42.1	1 1 -1
38.02	100.0	1 1 1
54.62	21.3	1 1 -3

Structural model:
```
Ca2TmMnO4
1.0
5.761 0.000 0.000
0.000 3.353 0.000
-1.946 0.000 5.491
Ca Tm Mn O
2 1 1 4
direct
0.000 0.000 0.000
0.500 0.500 0.000
0.000 0.500 0.500
0.500 0.000 0.500
0.240 0.000 0.736
0.251 0.500 0.266
0.749 0.500 0.734
0.760 0.000 0.264
```